Starting from a cell relaxed with PBE, the X-ray powder pattern of CaPuSe2O8 was computed for CuKα.

Atomic structure:
```
12
Lattice="6.2307 0.0000 0.0000 -3.1154 5.3960 0.0000 0.0000 0.0000 6.4568" Properties=species:S:1:pos:R:3 pbc="T T T"
Ca 0.0000 0.0000 0.0000
Pu 0.0000 0.0000 3.2284
Se 0.0000 3.5973 4.7545
Se 3.1154 1.7987 1.7023
O -0.0138 1.5913 4.5630
O -1.7304 4.6123 4.5630
O 1.3712 0.8076 1.8938
O 0.0000 3.5973 6.3903
O 3.1154 1.7987 0.0665
O 1.7442 4.5884 4.5630
O 4.8457 0.7837 1.8938
O 3.1292 3.8047 1.8938
```

Top 10 peaks for 5 to 70 degrees two-theta, in order of falling intensity:
index	Position (°2θ)	d/Å	Rel. int.
0 1 1	21.5	4.140	100
1 1 0	28.7	3.115	68
1 0 0	16.4	5.396	58
0 1 2	32.3	2.770	50
0 2 2	43.7	2.070	32
3 -2 2	53.1	1.724	31
3 -2 1	46.7	1.945	26
0 0 1	13.7	6.457	24
2 0 1	36.1	2.489	15
2 -1 1	31.9	2.806	14